(1)
This entry pairs a crystal structure of DyAl9Ni3 with its simulated powder diffractogram. Radiation: Cu Kα. Structure: the PBE geometry in OQMD.

Structural model:
a b c (Å): 7.2785 7.2785 27.4193
angles (deg): 90.00 90.00 120.00
Space group R32 (No. 155, hexagonal axes)
Asymmetric unit:
Dy1 0.0000 0.0000 0.1669 (multiplicity 6)
Al1 0.0000 0.0000 0.0517 (multiplicity 6)
Al2 0.0000 0.0000 0.2820 (multiplicity 6)
Al3 0.0000 0.0000 0.3867 (multiplicity 6)
Al4 0.0000 0.2087 0.5000 (multiplicity 9)
Al5 0.0000 0.3345 0.0000 (multiplicity 9)
Al6 0.9998 0.6702 0.4325 (multiplicity 18)
Ni1 0.0001 0.3400 0.4183 (multiplicity 18)

Main lines, by intensity (10 to 90 degrees two-theta):
- (3 0 0), 2θ 43.05, I = 100
- (1 1 6), 2θ 31.42, I = 92
- (1 1 9), 2θ 38.54, I = 80
- (1 1 0), 2θ 24.46, I = 45
- (1 1 3), 2θ 26.36, I = 35
- (3 0 12), 2θ 59.80, I = 31
- (4 1 9), 2θ 75.89, I = 26
- (0 0 12), 2θ 39.44, I = 24
- (2 2 9), 2θ 59.14, I = 21
- (4 1 6), 2θ 71.65, I = 21

=====

(2)
This entry pairs a crystal structure of Dy2AlSiNi with its simulated powder diffractogram. Radiation: Cu Kα. Structure: the PBE geometry in OQMD.

Structural model:
a b c (Å): 4.0736 8.6745 5.5781
angles (deg): 90.00 90.00 90.00
Space group Imm2 (No. 44)
Asymmetric unit:
Dy1 0.0000 0.2058 0.0000 (multiplicity 4)
Al1 0.0000 0.0000 0.5075 (multiplicity 2)
Si1 0.0000 0.5000 0.7171 (multiplicity 2)
Ni1 0.0000 0.5000 0.2819 (multiplicity 2)

Main lines, by intensity (10 to 90 degrees two-theta):
- (1 2 1), 2θ 34.21, I = 100
- (1 0 1), 2θ 27.11, I = 68
- (0 2 2), 2θ 38.37, I = 39
- (1 3 0), 2θ 38.17, I = 33
- (0 3 1), 2θ 34.95, I = 28
- (1 1 2), 2θ 40.56, I = 25
- (1 5 2), 2θ 67.63, I = 24
- (2 0 0), 2θ 44.48, I = 23
- (2 2 2), 2θ 60.17, I = 21
- (1 5 0), 2θ 57.78, I = 20

=====

(3)
This entry pairs a crystal structure of SmDy2Al3Ni3 with its simulated powder diffractogram. Radiation: Cu Kα. Structure: the PBE geometry in OQMD.

Structural model:
a b c (Å): 3.8568 12.1694 7.0695
angles (deg): 90.00 90.00 90.00
Space group Amm2 (No. 38)
Asymmetric unit:
Sm1 0.0000 0.0000 0.0000 (multiplicity 2)
Dy1 0.0000 0.2089 0.3707 (multiplicity 4)
Al1 0.5000 0.0000 0.3484 (multiplicity 2)
Al2 0.5000 0.1189 0.6948 (multiplicity 4)
Ni1 0.0000 0.0000 0.5782 (multiplicity 2)
Ni2 0.5000 0.1696 0.0810 (multiplicity 4)

Main lines, by intensity (10 to 90 degrees two-theta):
- (1 0 2), 2θ 34.47, I = 100
- (1 2 2), 2θ 37.55, I = 74
- (1 4 0), 2θ 37.66, I = 33
- (1 0 0), 2θ 23.06, I = 28
- (0 2 2), 2θ 29.22, I = 26
- (0 3 1), 2θ 25.31, I = 25
- (0 5 1), 2θ 39.11, I = 24
- (2 0 0), 2θ 47.13, I = 23
- (0 5 3), 2θ 54.20, I = 19
- (0 2 0), 2θ 14.52, I = 16

=====

(4)
This entry pairs a crystal structure of TbDy2Al3Ni3 with its simulated powder diffractogram. Radiation: Cu Kα. Structure: the PBE geometry in OQMD.

Structural model:
a b c (Å): 3.8191 12.1829 7.0411
angles (deg): 90.00 90.00 90.00
Space group Amm2 (No. 38)
Asymmetric unit:
Tb1 0.0000 0.0000 0.0000 (multiplicity 2)
Dy1 0.0000 0.2086 0.6264 (multiplicity 4)
Al1 0.5000 0.0000 0.6536 (multiplicity 2)
Al2 0.5000 0.1185 0.3000 (multiplicity 4)
Ni1 0.0000 0.0000 0.4183 (multiplicity 2)
Ni2 0.5000 0.1672 0.9175 (multiplicity 4)

Main lines, by intensity (10 to 90 degrees two-theta):
- (1 2 2), 2θ 37.77, I = 100
- (1 0 2), 2θ 34.66, I = 97
- (1 7 1), 2θ 59.83, I = 38
- (0 3 1), 2θ 25.31, I = 37
- (0 4 0), 2θ 29.31, I = 37
- (0 5 1), 2θ 39.10, I = 33
- (1 0 0), 2θ 23.29, I = 27
- (0 5 3), 2θ 54.27, I = 27
- (2 0 0), 2θ 47.62, I = 21
- (2 5 3), 2θ 75.05, I = 21

=====

(5)
This entry pairs a crystal structure of DyAl3O with its simulated powder diffractogram. Radiation: Cu Kα. Structure: the PBE geometry in OQMD.

Structural model:
a b c (Å): 4.3663 4.3663 4.3663
angles (deg): 90.00 90.00 90.00
Space group Pm-3m (No. 221)
Asymmetric unit:
Dy1 0.0000 0.0000 0.0000 (multiplicity 1)
Al1 0.0000 0.5000 0.5000 (multiplicity 3)
O1 0.5000 0.5000 0.5000 (multiplicity 1)

Main lines, by intensity (10 to 90 degrees two-theta):
- (1 1 0), 2θ 28.92, I = 100
- (1 1 1), 2θ 35.61, I = 86
- (1 0 0), 2θ 20.34, I = 67
- (2 0 0), 2θ 41.36, I = 56
- (2 1 1), 2θ 51.25, I = 40
- (2 2 0), 2θ 59.92, I = 37
- (3 1 1), 2θ 71.69, I = 35
- (2 1 0), 2θ 46.51, I = 34
- (3 2 1), 2θ 82.70, I = 20
- (3 0 0), 2θ 63.97, I = 17

=====

(6)
This entry pairs a crystal structure of Dy2AlSiOs with its simulated powder diffractogram. Radiation: Cu Kα. Structure: the PBE geometry in OQMD.

Structural model:
a b c (Å): 4.1601 8.7448 5.5867
angles (deg): 90.00 90.00 90.00
Space group Imm2 (No. 44)
Asymmetric unit:
Dy1 0.0000 0.2010 0.0000 (multiplicity 4)
Al1 0.0000 0.0000 0.5089 (multiplicity 2)
Si1 0.0000 0.5000 0.7288 (multiplicity 2)
Os1 0.0000 0.5000 0.2755 (multiplicity 2)

Main lines, by intensity (10 to 90 degrees two-theta):
- (1 2 1), 2θ 33.79, I = 100
- (1 0 1), 2θ 26.72, I = 65
- (1 3 0), 2θ 37.68, I = 58
- (0 1 1), 2θ 18.85, I = 57
- (0 2 2), 2θ 38.23, I = 55
- (1 1 2), 2θ 40.23, I = 54
- (1 5 2), 2θ 67.02, I = 41
- (0 3 1), 2θ 34.71, I = 32
- (2 0 0), 2θ 43.51, I = 31
- (2 2 2), 2θ 59.29, I = 31

=====

(7)
This entry pairs a crystal structure of Dy2Al3Pd4 with its simulated powder diffractogram. Radiation: Cu Kα. Structure: the PBE geometry in OQMD.

Structural model:
a b c (Å): 5.5833 15.2833 7.6089
angles (deg): 90.00 90.00 90.00
Space group Cmce (No. 64)
Asymmetric unit:
Dy1 0.0000 0.1077 0.0866 (multiplicity 8)
Al1 0.0000 0.0000 0.5000 (multiplicity 4)
Al2 0.2500 0.2293 0.7500 (multiplicity 8)
Pd1 0.0000 0.1827 0.4787 (multiplicity 8)
Pd2 0.2500 0.0614 0.7500 (multiplicity 8)

Main lines, by intensity (10 to 90 degrees two-theta):
- (1 5 1), 2θ 35.50, I = 100
- (2 0 2), 2θ 40.05, I = 86
- (0 2 3), 2θ 37.36, I = 56
- (2 2 1), 2θ 36.24, I = 51
- (1 3 2), 2θ 33.49, I = 38
- (0 2 2), 2θ 26.14, I = 27
- (1 9 1), 2θ 58.06, I = 23
- (3 5 1), 2θ 59.40, I = 22
- (0 6 1), 2θ 37.22, I = 19
- (0 6 2), 2θ 42.75, I = 19

=====

(8)
This entry pairs a crystal structure of Tb2DyAl3Si2Pd with its simulated powder diffractogram. Radiation: Cu Kα. Structure: the PBE geometry in OQMD.

Structural model:
a b c (Å): 4.2620 11.9560 6.9036
angles (deg): 90.00 90.00 90.00
Space group Amm2 (No. 38)
Asymmetric unit:
Tb1 0.0000 0.2088 0.0000 (multiplicity 4)
Dy1 0.0000 0.0000 0.3737 (multiplicity 2)
Al1 0.5000 0.0000 0.0297 (multiplicity 2)
Al2 0.5000 0.1191 0.6717 (multiplicity 4)
Si1 0.5000 0.1662 0.2913 (multiplicity 4)
Pd1 0.0000 0.0000 0.7901 (multiplicity 2)

Main lines, by intensity (10 to 90 degrees two-theta):
- (1 4 0), 2θ 36.72, I = 100
- (1 3 1), 2θ 33.41, I = 73
- (1 0 0), 2θ 20.84, I = 58
- (0 4 0), 2θ 29.89, I = 51
- (1 5 3), 2θ 59.85, I = 33
- (0 3 1), 2θ 25.81, I = 33
- (0 6 0), 2θ 45.47, I = 30
- (0 1 3), 2θ 39.90, I = 25
- (2 0 0), 2θ 42.42, I = 25
- (2 4 0), 2θ 52.76, I = 21

=====

(9)
This entry pairs a crystal structure of DyTmAl4Pd2 with its simulated powder diffractogram. Radiation: Cu Kα. Structure: the PBE geometry in OQMD.

Structural model:
a b c (Å): 6.9333 4.2789 10.1452
angles (deg): 90.00 90.00 90.00
Space group Amm2 (No. 38)
Asymmetric unit:
Dy1 0.0000 0.0000 0.0000 (multiplicity 2)
Tm1 0.5000 0.0000 0.1442 (multiplicity 2)
Al1 0.1979 0.0000 0.7119 (multiplicity 4)
Al2 0.3037 0.0000 0.4316 (multiplicity 4)
Pd1 0.0000 0.0000 0.2824 (multiplicity 2)
Pd2 0.5000 0.0000 0.8620 (multiplicity 2)

Main lines, by intensity (10 to 90 degrees two-theta):
- (1 1 3), 2θ 36.25, I = 100
- (2 1 1), 2θ 34.45, I = 76
- (0 1 1), 2θ 22.55, I = 53
- (2 0 0), 2θ 25.70, I = 52
- (1 0 4), 2θ 37.77, I = 48
- (0 2 0), 2θ 42.24, I = 28
- (1 2 4), 2θ 57.94, I = 28
- (3 1 3), 2θ 52.51, I = 27
- (2 2 0), 2θ 50.10, I = 17
- (3 0 4), 2θ 53.65, I = 14

=====

(10)
This entry pairs a crystal structure of DyScAl2Pt4 with its simulated powder diffractogram. Radiation: Cu Kα. Structure: the PBE geometry in OQMD.

Structural model:
a b c (Å): 4.3006 4.3006 9.0590
angles (deg): 90.00 90.00 120.00
Space group P-6m2 (No. 187)
Asymmetric unit:
Dy1 0.0000 0.0000 0.0000 (multiplicity 1)
Sc1 0.3333 0.6667 0.5000 (multiplicity 1)
Al1 0.6667 0.3333 0.2570 (multiplicity 2)
Pt1 0.0000 0.0000 0.3447 (multiplicity 2)
Pt2 0.3333 0.6667 0.1721 (multiplicity 2)

Main lines, by intensity (10 to 90 degrees two-theta):
- (1 0 3), 2θ 38.38, I = 100
- (1 1 0), 2θ 42.02, I = 59
- (1 0 0), 2θ 23.89, I = 48
- (2 0 3), 2θ 58.20, I = 30
- (2 1 3), 2θ 74.35, I = 29
- (1 1 6), 2θ 77.20, I = 15
- (1 0 1), 2θ 25.86, I = 11
- (3 0 0), 2θ 76.77, I = 10
- (1 0 6), 2θ 66.87, I = 8
- (2 0 0), 2θ 48.91, I = 7

=====

(11)
This entry pairs a crystal structure of RbDyAlTe3 with its simulated powder diffractogram. Radiation: Cu Kα. Structure: the PBE geometry in OQMD.

Structural model:
a b c (Å): 12.0556 5.0399 13.4098
angles (deg): 90.00 90.00 90.00
Space group Pnma (No. 62)
Asymmetric unit:
Rb1 0.1811 0.2500 0.0087 (multiplicity 4)
Dy1 0.0254 0.2500 0.3234 (multiplicity 4)
Al1 0.2334 0.2500 0.7235 (multiplicity 4)
Te1 0.0509 0.7500 0.1748 (multiplicity 4)
Te2 0.0893 0.2500 0.5642 (multiplicity 4)
Te3 0.2097 0.7500 0.8005 (multiplicity 4)

Main lines, by intensity (10 to 90 degrees two-theta):
- (1 1 4), 2θ 32.94, I = 100
- (1 1 3), 2θ 27.67, I = 88
- (2 1 2), 2θ 26.62, I = 78
- (0 2 0), 2θ 35.63, I = 71
- (3 1 2), 2θ 31.44, I = 56
- (3 1 1), 2θ 29.19, I = 39
- (4 0 1), 2θ 30.40, I = 35
- (3 1 4), 2θ 39.30, I = 35
- (1 1 2), 2θ 23.28, I = 30
- (4 2 1), 2θ 47.54, I = 30

=====

(12)
This entry pairs a crystal structure of TbDyAl6 with its simulated powder diffractogram. Radiation: Cu Kα. Structure: the PBE geometry in OQMD.

Structural model:
a b c (Å): 6.2915 6.2915 4.6042
angles (deg): 90.00 90.00 120.00
Space group P-6m2 (No. 187)
Asymmetric unit:
Tb1 0.0000 0.0000 0.0000 (multiplicity 1)
Dy1 0.6667 0.3333 0.5000 (multiplicity 1)
Al1 0.0390 0.5195 0.0000 (multiplicity 3)
Al2 0.1866 0.3732 0.5000 (multiplicity 3)

Main lines, by intensity (10 to 90 degrees two-theta):
- (1 0 1), 2θ 25.33, I = 100
- (2 0 1), 2θ 38.39, I = 97
- (1 1 0), 2θ 28.37, I = 48
- (1 0 0), 2θ 16.27, I = 27
- (2 1 1), 2θ 48.42, I = 26
- (2 0 0), 2θ 32.88, I = 25
- (1 1 2), 2θ 49.04, I = 22
- (0 0 2), 2θ 39.13, I = 21
- (2 2 2), 2θ 72.83, I = 18
- (3 1 1), 2θ 64.95, I = 18

=====

(13)
This entry pairs a crystal structure of DyAlTl with its simulated powder diffractogram. Radiation: Cu Kα. Structure: the PBE geometry in OQMD.

Structural model:
a b c (Å): 4.4514 14.1443 4.6255
angles (deg): 90.00 90.00 90.00
Space group Cmmm (No. 65)
Asymmetric unit:
Dy1 0.0000 0.1585 0.0000 (multiplicity 4)
Al1 0.0000 0.3105 0.5000 (multiplicity 4)
Tl1 0.0000 0.0000 0.5000 (multiplicity 2)
Tl2 0.0000 0.5000 0.0000 (multiplicity 2)

Main lines, by intensity (10 to 90 degrees two-theta):
- (1 3 1), 2θ 33.80, I = 100
- (0 2 0), 2θ 12.52, I = 22
- (0 0 2), 2θ 38.94, I = 17
- (0 6 0), 2θ 38.18, I = 17
- (2 0 0), 2θ 40.53, I = 16
- (1 3 3), 2θ 67.26, I = 14
- (3 3 1), 2θ 69.45, I = 14
- (1 9 1), 2θ 66.22, I = 12
- (0 0 1), 2θ 19.19, I = 12
- (0 6 2), 2θ 55.67, I = 11

=====

(14)
This entry pairs a crystal structure of Dy2Tm5Al with its simulated powder diffractogram. Radiation: Cu Kα. Structure: the PBE geometry in OQMD.

Structural model:
a b c (Å): 5.4562 6.9531 12.0523
angles (deg): 90.00 90.00 90.00
Space group Amm2 (No. 38)
Asymmetric unit:
Dy1 0.0000 0.0000 0.0000 (multiplicity 2)
Dy2 0.5000 0.0000 0.3416 (multiplicity 2)
Tm1 0.0000 0.2444 0.7549 (multiplicity 4)
Tm2 0.5000 0.0000 0.8363 (multiplicity 2)
Tm3 0.5000 0.2444 0.5853 (multiplicity 4)
Al1 0.0000 0.0000 0.5054 (multiplicity 2)

Main lines, by intensity (10 to 90 degrees two-theta):
- (1 0 4), 2θ 34.00, I = 100
- (0 2 2), 2θ 29.66, I = 25
- (2 0 0), 2θ 32.83, I = 24
- (2 4 0), 2θ 63.43, I = 22
- (3 0 4), 2θ 59.36, I = 20
- (0 4 0), 2θ 52.63, I = 20
- (2 2 2), 2θ 44.82, I = 16
- (1 4 4), 2θ 64.15, I = 16
- (1 2 10), 2θ 87.54, I = 14
- (3 4 4), 2θ 83.31, I = 8